Record 1
# DyEr2S4
Computed X-ray diffraction stick pattern, copper Kα. Input: DFT lattice parameters and positions (GGA-PBE).
Intensities are scaled so that the largest is 100.

Crystal structure
Lattice parameters (Å, degrees): 7.428 7.428 6.807 115.22 115.22 30.56
Atoms (fractional coordinates):
1 Dy 0.000 0.000 0.000
2 Er 0.271 0.271 0.278
3 Er 0.729 0.729 0.722
4 S 0.126 0.126 0.442
5 S 0.361 0.361 0.999
6 S 0.639 0.639 0.001
7 S 0.874 0.874 0.558

Most intense lines, 2θ from 5° to 70°, by angle:
13.8 deg, rel. 25
24.1 deg, rel. 16
26.2 deg, rel. 100
27.8 deg, rel. 16
29.5 deg, rel. 19
30.9 deg, rel. 21
38.2 deg, rel. 38
39.0 deg, rel. 33
39.3 deg, rel. 19
46.3 deg, rel. 29



Record 2
# CrCu4Pd
Computed X-ray diffraction stick pattern, copper Kα. Input: DFT lattice parameters and positions (GGA-PBE).
Intensities are scaled so that the largest is 100.

Crystal structure
Lattice parameters (Å, degrees): 4.823 4.823 4.823 60.00 60.00 60.00
Atoms (fractional coordinates):
1 Cr 0.000 0.000 0.000
2 Cu 0.375 0.375 0.375
3 Cu 0.375 0.375 0.875
4 Cu 0.375 0.875 0.375
5 Cu 0.875 0.375 0.375
6 Pd 0.750 0.750 0.750

Most intense lines, 2θ from 5° to 70°, by angle:
22.6 deg, rel. 6
26.1 deg, rel. 5
37.3 deg, rel. 33
44.0 deg, rel. 100
46.1 deg, rel. 35
53.8 deg, rel. 3
59.0 deg, rel. 1
60.7 deg, rel. 2
67.2 deg, rel. 11



Record 3
# NdZnAg2
Computed X-ray diffraction stick pattern, copper Kα. Input: DFT lattice parameters and positions (GGA-PBE).
Intensities are scaled so that the largest is 100.

Crystal structure
Lattice parameters (Å, degrees): 7.128 7.128 5.454 100.62 100.62 134.96
Atoms (fractional coordinates):
1 Nd 0.127 0.873 0.750
2 Nd 0.873 0.127 0.250
3 Zn 0.249 0.751 0.250
4 Zn 0.751 0.249 0.750
5 Ag 0.248 0.420 0.902
6 Ag 0.420 0.248 0.402
7 Ag 0.580 0.752 0.598
8 Ag 0.752 0.580 0.098

Most intense lines, 2θ from 5° to 70°, by angle:
27.1 deg, rel. 32
33.0 deg, rel. 33
33.6 deg, rel. 78
35.6 deg, rel. 91
38.3 deg, rel. 100
39.2 deg, rel. 29
41.1 deg, rel. 21
48.0 deg, rel. 28
63.0 deg, rel. 21
68.8 deg, rel. 29



Record 4
# BaBi2PtO8
Computed X-ray diffraction stick pattern, copper Kα. Input: DFT lattice parameters and positions (GGA-PBE).
Intensities are scaled so that the largest is 100.

Crystal structure
Lattice parameters (Å, degrees): 4.946 5.016 7.360 89.94 89.98 89.64
Atoms (fractional coordinates):
1 Ba 0.000 0.000 0.000
2 Bi 0.500 0.500 0.267
3 Bi 0.500 0.500 0.733
4 Pt 0.000 0.000 0.500
5 O 0.136 0.762 0.697
6 O 0.137 0.763 0.303
7 O 0.332 0.231 0.500
8 O 0.462 0.267 0.000
9 O 0.538 0.733 0.000
10 O 0.668 0.769 0.500
11 O 0.863 0.237 0.697
12 O 0.864 0.238 0.303

Most intense lines, 2θ from 5° to 70°, by angle:
25.2 deg, rel. 85
25.4 deg, rel. 78
30.1 deg, rel. 100
30.3 deg, rel. 77
36.3 deg, rel. 32
47.5 deg, rel. 35
47.7 deg, rel. 36
47.8 deg, rel. 28
48.0 deg, rel. 29
56.4 deg, rel. 24



Record 5
# CuNi3Rh2
Computed X-ray diffraction stick pattern, copper Kα. Input: DFT lattice parameters and positions (GGA-PBE).
Intensities are scaled so that the largest is 100.

Crystal structure
Lattice parameters (Å, degrees): 8.560 8.140 4.520 79.49 69.23 31.28
Atoms (fractional coordinates):
1 Cu 0.125 0.125 0.125
2 Cu 0.875 0.875 0.875
3 Ni 0.042 0.042 0.708
4 Ni 0.292 0.292 0.958
5 Ni 0.375 0.375 0.375
6 Ni 0.625 0.625 0.625
7 Ni 0.708 0.708 0.042
8 Ni 0.958 0.958 0.292
9 Rh 0.208 0.208 0.542
10 Rh 0.458 0.458 0.792
11 Rh 0.542 0.542 0.208
12 Rh 0.792 0.792 0.458

Most intense lines, 2θ from 5° to 70°, by angle:
21.7 deg, rel. 3
26.7 deg, rel. 2
27.2 deg, rel. 11
42.6 deg, rel. 100
42.8 deg, rel. 99
44.3 deg, rel. 3
49.2 deg, rel. 32
50.0 deg, rel. 62
57.7 deg, rel. 1
58.0 deg, rel. 1



Record 6
# Ho2AlHg8
Computed X-ray diffraction stick pattern, copper Kα. Input: DFT lattice parameters and positions (GGA-PBE).
Intensities are scaled so that the largest is 100.

Crystal structure
Lattice parameters (Å, degrees): 4.587 4.587 12.509 90.00 90.00 90.00
Atoms (fractional coordinates):
1 Ho 0.000 0.000 0.191
2 Ho 0.000 0.000 0.809
3 Al 0.000 0.000 0.500
4 Hg 0.000 0.500 0.000
5 Hg 0.000 0.500 0.370
6 Hg 0.000 0.500 0.630
7 Hg 0.500 0.000 0.000
8 Hg 0.500 0.000 0.370
9 Hg 0.500 0.000 0.630
10 Hg 0.500 0.500 0.188
11 Hg 0.500 0.500 0.812

Most intense lines, 2θ from 5° to 70°, by angle:
28.4 deg, rel. 9
31.1 deg, rel. 34
35.1 deg, rel. 100
35.9 deg, rel. 19
39.3 deg, rel. 48
54.3 deg, rel. 23
56.8 deg, rel. 17
66.4 deg, rel. 22
68.5 deg, rel. 29
69.0 deg, rel. 12



Record 7
# SrCd10Hg2
Computed X-ray diffraction stick pattern, copper Kα. Input: DFT lattice parameters and positions (GGA-PBE).
Intensities are scaled so that the largest is 100.

Crystal structure
Lattice parameters (Å, degrees): 10.158 7.808 7.796 81.24 49.43 49.33
Atoms (fractional coordinates):
1 Sr 0.000 0.000 0.000
2 Cd 0.000 0.500 0.000
3 Cd 0.002 0.355 0.645
4 Cd 0.286 0.500 0.500
5 Cd 0.355 0.002 0.998
6 Cd 0.500 0.000 0.500
7 Cd 0.500 0.286 0.714
8 Cd 0.500 0.714 0.286
9 Cd 0.645 0.998 0.002
10 Cd 0.714 0.500 0.500
11 Cd 0.998 0.645 0.355
12 Hg 0.000 0.000 0.500
13 Hg 0.500 0.500 0.000

Most intense lines, 2θ from 5° to 70°, by angle:
12.3 deg, rel. 22
17.5 deg, rel. 36
30.2 deg, rel. 33
34.3 deg, rel. 100
35.1 deg, rel. 79
35.3 deg, rel. 69
38.8 deg, rel. 98
39.5 deg, rel. 33
39.7 deg, rel. 60
62.8 deg, rel. 33



Record 8
# Ho2Tm4Zr
Computed X-ray diffraction stick pattern, copper Kα. Input: DFT lattice parameters and positions (GGA-PBE).
Intensities are scaled so that the largest is 100.

Crystal structure
Lattice parameters (Å, degrees): 19.411 19.411 19.411 10.35 10.35 10.35
Atoms (fractional coordinates):
1 Ho 0.000 0.000 0.000
2 Ho 0.097 0.097 0.097
3 Tm 0.285 0.285 0.285
4 Tm 0.382 0.382 0.382
5 Tm 0.814 0.814 0.814
6 Tm 0.902 0.902 0.902
7 Zr 0.191 0.191 0.191

Most intense lines, 2θ from 5° to 70°, by angle:
29.5 deg, rel. 33
29.6 deg, rel. 17
32.5 deg, rel. 52
33.4 deg, rel. 100
34.1 deg, rel. 100
52.3 deg, rel. 44
58.0 deg, rel. 17
59.5 deg, rel. 19
62.9 deg, rel. 47
63.9 deg, rel. 16



Record 9
# Cs2AcIO2
Computed X-ray diffraction stick pattern, copper Kα. Input: DFT lattice parameters and positions (GGA-PBE).
Intensities are scaled so that the largest is 100.

Crystal structure
Lattice parameters (Å, degrees): 4.927 4.927 7.860 90.00 90.00 90.00
Atoms (fractional coordinates):
1 Cs 0.000 0.000 0.246
2 Cs 0.000 0.000 0.754
3 Ac 0.500 0.500 0.000
4 I 0.500 0.500 0.500
5 O 0.000 0.500 0.000
6 O 0.500 0.000 0.000

Most intense lines, 2θ from 5° to 70°, by angle:
11.3 deg, rel. 11
25.6 deg, rel. 61
29.1 deg, rel. 100
36.5 deg, rel. 30
47.3 deg, rel. 52
52.5 deg, rel. 11
53.5 deg, rel. 16
59.3 deg, rel. 12
60.2 deg, rel. 14
61.2 deg, rel. 12



Record 10
# Ho3Se3N
Computed X-ray diffraction stick pattern, copper Kα. Input: DFT lattice parameters and positions (GGA-PBE).
Intensities are scaled so that the largest is 100.

Crystal structure
Lattice parameters (Å, degrees): 12.539 3.927 13.187 90.00 90.00 90.00
Atoms (fractional coordinates):
1 Ho 0.044 0.250 0.149
2 Ho 0.059 0.250 0.634
3 Ho 0.200 0.250 0.856
4 Ho 0.300 0.750 0.356
5 Ho 0.441 0.750 0.134
6 Ho 0.456 0.750 0.649
7 Ho 0.544 0.250 0.351
8 Ho 0.559 0.250 0.866
9 Ho 0.700 0.250 0.644
10 Ho 0.800 0.750 0.144
11 Ho 0.941 0.750 0.366
12 Ho 0.956 0.750 0.851
13 Se 0.099 0.250 0.399
14 Se 0.129 0.750 0.993
15 Se 0.222 0.750 0.687
16 Se 0.278 0.250 0.187
17 Se 0.371 0.250 0.493
18 Se 0.401 0.750 0.899
19 Se 0.599 0.250 0.101
20 Se 0.629 0.750 0.507
21 Se 0.722 0.750 0.813
22 Se 0.778 0.250 0.313
23 Se 0.871 0.250 0.007
24 Se 0.901 0.750 0.601
25 N 0.033 0.250 0.797
26 N 0.467 0.750 0.297
27 N 0.533 0.250 0.703
28 N 0.967 0.750 0.203

Most intense lines, 2θ from 5° to 70°, by angle:
25.2 deg, rel. 33
26.8 deg, rel. 42
27.0 deg, rel. 50
27.4 deg, rel. 34
31.4 deg, rel. 51
32.0 deg, rel. 37
34.2 deg, rel. 75
38.4 deg, rel. 100
46.2 deg, rel. 45
49.4 deg, rel. 20



Record 11
# Eu2ZnGe3
Computed X-ray diffraction stick pattern, copper Kα. Input: DFT lattice parameters and positions (GGA-PBE).
Intensities are scaled so that the largest is 100.

Crystal structure
Lattice parameters (Å, degrees): 6.177 6.177 8.610 112.17 112.17 86.99
Atoms (fractional coordinates):
1 Eu 0.249 0.751 0.000
2 Eu 0.258 0.258 0.499
3 Eu 0.742 0.742 0.501
4 Eu 0.751 0.249 0.000
5 Zn 0.189 0.189 0.832
6 Zn 0.811 0.811 0.168
7 Ge 0.187 0.696 0.332
8 Ge 0.304 0.813 0.668
9 Ge 0.309 0.309 0.163
10 Ge 0.691 0.691 0.837
11 Ge 0.696 0.187 0.332
12 Ge 0.813 0.304 0.668

Most intense lines, 2θ from 5° to 70°, by angle:
24.2 deg, rel. 11
31.5 deg, rel. 100
40.3 deg, rel. 12
42.6 deg, rel. 38
47.5 deg, rel. 8
49.5 deg, rel. 2
53.9 deg, rel. 22
60.0 deg, rel. 22
65.7 deg, rel. 3
67.7 deg, rel. 10



What is the formula in the fifth record? CuNi3Rh2



What is the formula in the eleventh record? Eu2ZnGe3



Which formula does entry 10 have? Ho3Se3N